# Na2CrSbSe4
Computed powder XRD pattern, a wavelength of 1.5418 Å. Input: a structure optimized by DFT (PBE).
Lines closer than 0.1° are merged.

Main lines, by angle (5 to 70 degrees two-theta):
- d = 5.331 Å, intensity 23, (1 1 0)
- d = 5.157 Å, intensity 31, (1 1 -1)
- d = 3.385 Å, intensity 13, (0 2 1)
- d = 3.290 Å, intensity 13, (1 1 1)
- d = 2.939 Å, intensity 100, (2 2 -1)
- d = 2.897 Å, intensity 41, (0 0 2)
- d = 2.107 Å, intensity 28, (2 2 1)
- d = 2.085 Å, intensity 15, (0 4 0)
- d = 2.071 Å, intensity 18, (4 0 -2)
- d = 2.022 Å, intensity 26, (2 2 -3)
- d = 1.692 Å, intensity 16, (0 4 2)
- d = 1.469 Å, intensity 8, (4 4 -2)

Atomic structure:
```
data_Na2CrSbSe4
_chemical_formula_sum 'Na4 Cr2 Sb2 Se8'
_symmetry_space_group_name_H-M 'C 1 2 1'
_symmetry_Int_Tables_number 5
_cell_length_a 8.299
_cell_length_b 8.340
_cell_length_c 6.937
_cell_angle_alpha 90.00
_cell_angle_beta 123.35
_cell_angle_gamma 90.00
loop_
_symmetry_equiv_pos_as_xyz
'x,y,z'
'-x,y,-z'
'x+1/2,y+1/2,z'
'-x+1/2,y+1/2,-z'
loop_
_atom_site_label
_atom_site_fract_x
_atom_site_fract_y
_atom_site_fract_z
_atom_site_occupancy
Na1 0.000 0.000 0.000 1
Na2 0.000 0.251 0.500 1
Cr1 0.000 0.459 0.000 1
Sb1 0.000 0.728 0.500 1
Se1 0.203 0.515 0.425 1
Se2 0.236 0.274 0.016 1
```

# Na3CrSe3
Computed powder XRD pattern, a wavelength of 1.5418 Å. Input: a structure optimized by DFT (PBE).
Lines closer than 0.1° are merged.

Main lines, by angle (5 to 70 degrees two-theta):
- d = 5.958 Å, intensity 19, (0 0 2)
- d = 5.462 Å, intensity 42, (1 1 1)
- d = 3.578 Å, intensity 100, (3 1 2)
- d = 3.259 Å, intensity 25, (0 2 0)
- d = 3.077 Å, intensity 36, (6 0 0)
- d = 2.978 Å, intensity 48, (0 0 4)
- d = 2.237 Å, intensity 39, (6 2 0)
- d = 2.199 Å, intensity 38, (0 2 4)
- d = 2.140 Å, intensity 47, (6 0 4)
- d = 1.937 Å, intensity 18, (3 3 2)
- d = 1.859 Å, intensity 17, (9 1 2)
- d = 1.789 Å, intensity 13, (6 2 4)

Atomic structure:
```
data_Na3CrSe3
_chemical_formula_sum 'Na24 Cr8 Se24'
_symmetry_space_group_name_H-M 'C m c e'
_symmetry_Int_Tables_number 64
_symmetry_space_group_name_Hall '-C 2ac 2'
_cell_length_a 18.459
_cell_length_b 6.518
_cell_length_c 11.916
_cell_angle_alpha 90.00
_cell_angle_beta 90.00
_cell_angle_gamma 90.00
loop_
_atom_site_label
_atom_site_fract_x
_atom_site_fract_y
_atom_site_fract_z
_atom_site_occupancy
Na1 0.000 0.157 0.156 1
Na2 0.182 0.165 0.872 1
Cr1 0.084 0.000 0.500 1
Se1 0.000 0.220 0.399 1
Se2 0.158 0.202 0.620 1
```

# Na3Cr11Se20
Computed powder XRD pattern, a wavelength of 1.5418 Å. Input: a structure optimized by DFT (PBE).
Lines closer than 0.1° are merged.

Main lines, by angle (5 to 70 degrees two-theta):
- d = 12.761 Å, intensity 86, (2 0 -1)
- d = 6.381 Å, intensity 58, (4 0 -2)
- d = 2.929 Å, intensity 33, (3 1 -4)
- d = 2.907 Å, intensity 22, (4 0 3)
- d = 2.737 Å, intensity 65, (4 0 -7)
- d = 2.645 Å, intensity 100, (5 1 -5)
- d = 2.622 Å, intensity 49, (6 0 2)
- d = 2.151 Å, intensity 31, (9 1 -2)
- d = 2.073 Å, intensity 29, (9 1 -7)
- d = 1.829 Å, intensity 33, (0 2 0)
- d = 1.823 Å, intensity 62, (1 1 7)
- d = 1.501 Å, intensity 24, (6 2 2)

Atomic structure:
```
data_Na3Cr11Se20
_chemical_formula_sum 'Na6 Cr22 Se40'
_symmetry_space_group_name_H-M 'C 1 m 1'
_symmetry_Int_Tables_number 8
_cell_length_a 25.592
_cell_length_b 3.658
_cell_length_c 19.560
_cell_angle_alpha 90.00
_cell_angle_beta 126.51
_cell_angle_gamma 90.00
loop_
_symmetry_equiv_pos_as_xyz
'x,y,z'
'x,-y,z'
'x+1/2,y+1/2,z'
'x+1/2,-y+1/2,z'
loop_
_atom_site_label
_atom_site_fract_x
_atom_site_fract_y
_atom_site_fract_z
_atom_site_occupancy
Na1 0.000 0.000 0.000 1
Na2 0.103 0.500 0.220 1
Na3 0.223 0.000 0.439 1
Cr1 0.073 0.000 0.867 1
Cr2 0.080 0.500 0.655 1
Cr3 0.090 0.000 0.446 1
Cr4 0.176 0.500 0.068 1
Cr5 0.191 0.500 0.639 1
Cr6 0.275 0.000 0.276 1
Cr7 0.285 0.000 0.847 1
Cr8 0.379 0.500 0.468 1
Cr9 0.382 0.500 0.049 1
Cr10 0.391 0.000 0.258 1
Cr11 0.473 0.000 0.684 1
Se1 0.059 0.500 0.943 1
Se2 0.067 0.500 0.515 1
Se3 0.095 0.500 0.798 1
Se4 0.112 0.500 0.380 1
Se5 0.157 0.000 0.144 1
Se6 0.166 0.000 0.715 1
Se7 0.193 0.000 0.997 1
Se8 0.209 0.000 0.573 1
Se9 0.259 0.500 0.348 1
Se10 0.265 0.500 0.917 1
Se11 0.297 0.500 0.201 1
Se12 0.303 0.500 0.773 1
Se13 0.355 0.000 0.109 1
Se14 0.363 0.000 0.544 1
Se15 0.397 0.000 0.395 1
Se16 0.399 0.000 0.974 1
Se17 0.453 0.500 0.749 1
Se18 0.469 0.500 0.304 1
Se19 0.493 0.500 0.166 1
Se20 0.496 0.500 0.603 1
```

# Na3TaCr2Te6
Computed powder XRD pattern, a wavelength of 1.5418 Å. Input: a structure optimized by DFT (PBE).
Lines closer than 0.1° are merged.

Main lines, by angle (5 to 70 degrees two-theta):
- d = 7.412 Å, intensity 47, (0 0 1)
- d = 3.406 Å, intensity 17, (2 0 0)
- d = 3.009 Å, intensity 100, (1 3 1)
- d = 2.376 Å, intensity 22, (2 0 -3)
- d = 2.195 Å, intensity 29, (2 0 2)
- d = 2.066 Å, intensity 38, (0 6 0)
- d = 1.990 Å, intensity 10, (3 3 -2)
- d = 1.760 Å, intensity 14, (1 3 -4)
- d = 1.703 Å, intensity 18, (4 0 0)
- d = 1.559 Å, intensity 6, (2 6 -3)
- d = 1.504 Å, intensity 9, (2 6 2)
- d = 1.379 Å, intensity 5, (3 3 3)

Atomic structure:
```
data_Na3TaCr2Te6
_chemical_formula_sum 'Na6 Ta2 Cr4 Te12'
_symmetry_space_group_name_H-M 'C 1 2/m 1'
_symmetry_Int_Tables_number 12
_cell_length_a 7.160
_cell_length_b 12.388
_cell_length_c 7.787
_cell_angle_alpha 90.00
_cell_angle_beta 107.86
_cell_angle_gamma 90.00
loop_
_symmetry_equiv_pos_as_xyz
'x,y,z'
'-x,-y,-z'
'-x,y,-z'
'x,-y,z'
'x+1/2,y+1/2,z'
'-x+1/2,-y+1/2,-z'
'-x+1/2,y+1/2,-z'
'x+1/2,-y+1/2,z'
loop_
_atom_site_label
_atom_site_fract_x
_atom_site_fract_y
_atom_site_fract_z
_atom_site_occupancy
Na1 0.000 0.000 0.000 1
Na2 0.000 0.334 0.000 1
Ta1 0.000 0.500 0.500 1
Cr1 0.000 0.167 0.500 1
Te1 0.231 0.000 0.704 1
Te2 0.237 0.332 0.704 1
```

# NaCrTc
Computed powder XRD pattern, a wavelength of 1.5418 Å. Input: a structure optimized by DFT (PBE).
Lines closer than 0.1° are merged.

Main lines, by angle (5 to 70 degrees two-theta):
- d = 14.730 Å, intensity 100, (0 0 1)
- d = 7.365 Å, intensity 3, (0 0 2)
- d = 2.946 Å, intensity 2, (0 0 5)
- d = 2.386 Å, intensity 3, (1 0 -1)
- d = 2.212 Å, intensity 2, (1 0 3)
- d = 2.185 Å, intensity 6, (1 1 3)
- d = 2.174 Å, intensity 2, (0 1 -3)
- d = 2.149 Å, intensity 3, (1 0 -3)
- d = 2.104 Å, intensity 3, (0 0 7)
- d = 2.065 Å, intensity 3, (1 0 4)
- d = 2.038 Å, intensity 2, (0 1 4)
- d = 2.024 Å, intensity 2, (0 1 -4)

Atomic structure:
```
data_NaCrTc
_chemical_formula_sum 'Na2 Cr2 Tc2'
_symmetry_space_group_name_H-M 'P 1'
_symmetry_Int_Tables_number 1
_cell_length_a 2.775
_cell_length_b 2.776
_cell_length_c 14.747
_cell_angle_alpha 88.34
_cell_angle_beta 87.36
_cell_angle_gamma 61.30
loop_
_symmetry_equiv_pos_as_xyz
'x,y,z'
loop_
_atom_site_label
_atom_site_fract_x
_atom_site_fract_y
_atom_site_fract_z
_atom_site_occupancy
Na1 0.000 0.000 0.000 1
Na2 0.280 0.420 0.777 1
Cr1 0.251 0.338 0.478 1
Cr2 0.725 0.833 0.591 1
Tc1 0.300 0.335 0.187 1
Tc2 0.602 0.661 0.327 1
```

# NaCrTc
Computed powder XRD pattern, a wavelength of 1.5418 Å. Input: a structure optimized by DFT (PBE).
Lines closer than 0.1° are merged.

Main lines, by angle (5 to 70 degrees two-theta):
- d = 7.352 Å, intensity 100, (0 0 1)
- d = 3.676 Å, intensity 5, (0 0 2)
- d = 2.594 Å, intensity 12, (2 0 2)
- d = 2.522 Å, intensity 5, (1 1 1)
- d = 2.304 Å, intensity 7, (4 0 -2)
- d = 2.295 Å, intensity 18, (1 1 -2)
- d = 2.159 Å, intensity 11, (3 1 -1)
- d = 2.137 Å, intensity 26, (3 1 0)
- d = 1.999 Å, intensity 6, (4 0 -3)
- d = 1.960 Å, intensity 5, (3 1 1)
- d = 1.908 Å, intensity 10, (1 1 -3)
- d = 1.588 Å, intensity 6, (1 1 -4)

Atomic structure:
```
data_NaCrTc
_chemical_formula_sum 'Na4 Cr4 Tc4'
_symmetry_space_group_name_H-M 'C 1 m 1'
_symmetry_Int_Tables_number 8
_cell_length_a 9.910
_cell_length_b 2.885
_cell_length_c 7.633
_cell_angle_alpha 90.00
_cell_angle_beta 105.60
_cell_angle_gamma 90.00
loop_
_symmetry_equiv_pos_as_xyz
'x,y,z'
'x,-y,z'
'x+1/2,y+1/2,z'
'x+1/2,-y+1/2,z'
loop_
_atom_site_label
_atom_site_fract_x
_atom_site_fract_y
_atom_site_fract_z
_atom_site_occupancy
Na1 0.000 0.000 0.000 1
Na2 0.207 0.500 0.845 1
Cr1 0.023 0.000 0.520 1
Cr2 0.348 0.000 0.566 1
Tc1 0.147 0.500 0.358 1
Tc2 0.345 0.000 0.275 1
```

# NaVCr3
Computed powder XRD pattern, a wavelength of 1.5418 Å. Input: a structure optimized by DFT (PBE).
Lines closer than 0.1° are merged.

Main lines, by angle (5 to 70 degrees two-theta):
- d = 4.632 Å, intensity 77, (1 0 0)
- d = 3.275 Å, intensity 4, (1 1 0)
- d = 2.674 Å, intensity 68, (1 1 1)
- d = 2.316 Å, intensity 100, (2 0 0)
- d = 2.072 Å, intensity 31, (2 1 0)
- d = 1.891 Å, intensity 2, (2 1 1)
- d = 1.638 Å, intensity 61, (2 2 0)
- d = 1.544 Å, intensity 14, (3 0 0)
- d = 1.465 Å, intensity 1, (3 1 0)
- d = 1.397 Å, intensity 22, (3 1 1)

Atomic structure:
```
data_NaVCr3
_chemical_formula_sum 'Na1 V1 Cr3'
_symmetry_space_group_name_H-M 'P m -3 m'
_symmetry_Int_Tables_number 221
_symmetry_space_group_name_Hall '-P 4 2 3'
_cell_length_a 4.632
_cell_length_b 4.632
_cell_length_c 4.632
_cell_angle_alpha 90.00
_cell_angle_beta 90.00
_cell_angle_gamma 90.00
loop_
_atom_site_label
_atom_site_fract_x
_atom_site_fract_y
_atom_site_fract_z
_atom_site_occupancy
Na1 0.000 0.000 0.000 1
V1 0.500 0.500 0.500 1
Cr1 0.000 0.500 0.500 1
```

# NbCr
Computed powder XRD pattern, a wavelength of 1.5418 Å. Input: a structure optimized by DFT (PBE).
Lines closer than 0.1° are merged.

Main lines, by angle (5 to 70 degrees two-theta):
- d = 3.913 Å, intensity 6, (0 1 1)
- d = 2.919 Å, intensity 6, (1 0 1)
- d = 2.454 Å, intensity 6, (0 1 3)
- d = 2.228 Å, intensity 25, (0 0 4)
- d = 2.194 Å, intensity 100, (1 1 2)
- d = 2.177 Å, intensity 25, (0 2 0)
- d = 1.745 Å, intensity 3, (1 2 1)
- d = 1.557 Å, intensity 16, (0 2 4)
- d = 1.545 Å, intensity 10, (2 0 0)
- d = 1.437 Å, intensity 1, (2 1 1)

Atomic structure:
```
data_NbCr
_chemical_formula_sum 'Nb4 Cr4'
_symmetry_space_group_name_H-M 'I m m a'
_symmetry_Int_Tables_number 74
_symmetry_space_group_name_Hall '-I 2b 2'
_cell_length_a 3.090
_cell_length_b 4.355
_cell_length_c 8.914
_cell_angle_alpha 90.00
_cell_angle_beta 90.00
_cell_angle_gamma 90.00
loop_
_atom_site_label
_atom_site_fract_x
_atom_site_fract_y
_atom_site_fract_z
_atom_site_occupancy
Nb1 0.000 0.250 0.118 1
Cr1 0.000 0.250 0.634 1
```